Entry 1:
K2PbS2O8: calculated powder X-ray diffraction pattern (λ = 1.5418 Å (Cu Kα)), based on a structure optimized by DFT (PBE).
Intensities are scaled so that the largest is 100.

Most intense lines, 2θ = 10–90°, sorted by position:
Position (°2θ), I (rel.)
12.51, 55
18.78, 36
20.14, 56
27.94, 100
31.98, 77
34.47, 39
41.13, 30
42.98, 33
46.72, 26
50.60, 25

```
13
Lattice="2.798 1.616 7.075 -2.798 1.616 7.075 0.000 -3.231 7.075" Properties=species:S:1:pos:R:3 pbc="T T T"
K 0.000 0.000 4.315
K 0.000 0.000 16.909
Pb 0.000 0.000 0.000
S 0.000 0.000 8.505
S 0.000 0.000 12.719
O 0.000 -1.413 9.020
O -1.223 0.706 9.020
O -1.223 -0.706 12.204
O 0.000 0.000 7.025
O 0.000 0.000 14.199
O 1.223 0.706 9.020
O 1.223 -0.706 12.204
O 0.000 1.413 12.204
```

***

Entry 2:
KPb2Se2O6: calculated powder X-ray diffraction pattern (λ = 1.5418 Å (Cu Kα)), based on a structure optimized by DFT (PBE).
Intensities are scaled so that the largest is 100.

Most intense lines, 2θ = 10–90°, sorted by position:
Position (°2θ), I (rel.)
14.15, 67
15.44, 72
17.34, 65
17.59, 71
27.91, 77
28.38, 70
30.37, 100
31.17, 65
31.60, 74
40.12, 61

```
11
Lattice="5.663 0.000 0.000 -2.711 6.459 0.000 -0.047 -3.228 6.258" Properties=species:S:1:pos:R:3 pbc="T T T"
K 0.000 0.000 0.000
Pb 0.043 3.128 2.942
Pb 2.863 0.104 3.315
Se 0.029 0.716 5.474
Se 2.877 2.515 0.784
O -1.280 1.541 4.630
O 0.037 4.655 0.773
O 1.546 1.689 1.587
O 1.359 1.543 4.671
O 2.868 -1.424 5.485
O 4.186 1.691 1.628
```

***

Entry 3:
K2Pb2Se2O: calculated powder X-ray diffraction pattern (λ = 1.5418 Å (Cu Kα)), based on a structure optimized by DFT (PBE).
Intensities are scaled so that the largest is 100.

Most intense lines, 2θ = 10–90°, sorted by position:
Position (°2θ), I (rel.)
13.67, 51
13.80, 39
23.04, 27
23.87, 41
27.03, 39
27.83, 31
28.76, 100
31.86, 48
36.76, 31
39.96, 25

```
7
Lattice="7.382 -2.256 0.000 7.382 2.256 0.000 -3.684 0.000 6.478" Properties=species:S:1:pos:R:3 pbc="T T T"
K -0.601 0.000 1.918
K 11.681 0.000 4.559
Pb 1.485 0.000 5.758
Pb 9.596 0.000 0.720
Se 3.973 0.000 1.901
Se 7.107 0.000 4.577
O 7.382 0.000 0.000
```